Record 1
Structure and simulated powder X-ray diffraction pattern of NpBi2F11 (a cell relaxed with GGA-PBE; copper Kα).
Kinematic intensities with the Lorentz-polarization factor, no thermal factor.

Atomic structure:
```
NpBi2F11
1.0
-4.2317 5.2932 5.5751
4.2317 -5.2932 5.5751
4.2317 5.2932 -5.5751
Np Bi F
2 4 22
Cartesian
0.0000 0.0000 2.7875
0.0000 0.0000 8.3626
5.3353 1.9827 0.0000
1.1036 3.3105 0.0000
3.1282 1.9827 5.5751
-1.1036 3.3105 5.5751
4.2317 0.0000 0.0000
5.0522 -3.4039 3.8377
1.5749 -0.5766 1.4874
5.0522 3.4039 -1.7374
6.8886 0.5766 1.4874
3.1454 2.3610 0.0000
3.1454 -2.3610 5.5751
2.6569 4.7166 -1.4874
0.8204 1.8893 1.7374
1.5749 0.5766 4.0876
5.0522 3.4039 1.7374
0.0000 5.2932 0.0000
-0.8204 1.8893 3.8377
2.6569 4.7166 1.4874
3.4113 3.4039 3.8377
1.5749 0.5766 7.0625
1.0863 7.6543 0.0000
1.0863 2.9322 5.5751
-2.6569 4.7166 4.0876
-0.8204 1.8893 7.3125
2.6569 5.8699 4.0876
-0.8204 8.6971 1.7374
```

Most intense lines, 2θ = 5–70°, most intense first:
4.262 Å, 20.84 deg, I 100
3.839 Å, 23.17 deg, I 75
3.706 Å, 24.01 deg, I 66
3.257 Å, 27.38 deg, I 34
2.049 Å, 44.20 deg, I 32
2.118 Å, 42.70 deg, I 32
4.163 Å, 21.34 deg, I 30
1.927 Å, 47.16 deg, I 25
6.611 Å, 13.39 deg, I 24
2.788 Å, 32.11 deg, I 19

=====

Record 2
Structure and simulated powder X-ray diffraction pattern of Np2BiF11 (a cell relaxed with GGA-PBE; copper Kα).
Kinematic intensities with the Lorentz-polarization factor, no thermal factor.

Atomic structure:
```
Np2BiF11
1.0
-4.2284 5.2138 5.6333
4.2284 -5.2138 5.6333
4.2284 5.2138 -5.6333
Np Bi F
4 2 22
Cartesian
1.2780 1.8865 0.0000
5.5064 3.3274 0.0000
-1.2780 1.8865 5.6333
2.9503 3.3274 5.6333
4.2284 0.0000 2.8166
0.0000 5.2138 2.8166
0.0000 0.0000 0.0000
5.0044 1.8835 -1.5918
6.1035 -0.7202 1.5276
5.0044 -1.8835 4.0415
2.3533 0.7202 1.5276
3.1501 -2.9595 5.6333
3.1501 2.9595 0.0000
2.3533 -0.7202 4.1056
5.0044 1.8835 1.5918
1.8751 5.9340 -1.5276
0.7760 3.3303 1.5918
0.0000 0.0000 5.6333
3.4524 1.8835 4.0415
2.3533 -0.7202 7.1609
-0.7760 3.3303 4.0415
1.8751 5.9340 1.5276
1.0783 2.2543 5.6333
1.0783 8.1733 0.0000
1.8751 4.4936 4.1056
-0.7760 7.0973 1.5918
-1.8751 5.9340 4.1056
-0.7760 3.3303 7.2251
```

Most intense lines, 2θ = 5–70°, most intense first:
4.276 Å, 20.77 deg, I 100
3.701 Å, 24.05 deg, I 86
3.826 Å, 23.25 deg, I 82
4.129 Å, 21.52 deg, I 63
2.040 Å, 44.40 deg, I 56
2.118 Å, 42.68 deg, I 35
1.958 Å, 46.37 deg, I 34
5.633 Å, 15.73 deg, I 32
3.215 Å, 27.75 deg, I 31
3.382 Å, 26.35 deg, I 25

=====

Record 3
Structure and simulated powder X-ray diffraction pattern of Bi5O7F (a cell relaxed with GGA-PBE; copper Kα).
Kinematic intensities with the Lorentz-polarization factor, no thermal factor.

Atomic structure:
```
Bi5O7F
1.0
-2.6306 7.9885 12.0439
2.6306 -7.9885 12.0439
2.6306 7.9885 -12.0439
Bi O F
20 28 4
Cartesian
2.8058 1.2804 -1.5471
2.6306 3.9943 -4.7697
2.7088 6.6999 -7.3928
-0.1753 1.2804 1.5471
2.7088 -1.2886 7.3928
2.7088 1.2886 4.6510
2.4553 6.7081 -1.5471
0.0782 1.2886 7.3928
0.0000 3.9943 4.7697
0.1753 6.7081 1.5471
2.4553 1.2804 10.4968
2.6306 3.9943 7.2742
2.5523 6.6999 4.6510
0.1753 1.2804 13.5909
-0.0782 6.6999 7.3928
-0.0782 9.2772 4.6510
2.8058 6.7081 10.4968
-0.0782 1.2886 19.4367
0.0000 3.9943 16.8136
-0.1753 6.7081 13.5909
0.3648 -0.7810 1.2979
2.3884 -1.1732 3.6420
1.3045 -2.6650 6.0113
3.9351 -2.6650 6.0325
2.9953 0.7810 1.2979
-0.2422 1.1732 3.6420
1.2917 0.0000 6.0219
3.9223 0.0000 6.0219
2.3884 6.8154 -3.6420
0.3648 7.2076 -1.2979
3.9351 2.6650 6.0113
1.3045 2.6650 6.0325
2.3884 1.1732 8.4019
0.3648 0.7810 10.7460
2.2658 7.2076 1.2979
0.2422 6.8154 3.6420
1.3260 5.3236 6.0113
-1.3045 5.3236 6.0325
2.2658 0.7810 13.3418
0.2422 1.1732 15.6859
-1.2917 7.9885 6.0219
1.3389 7.9885 6.0219
2.8728 6.8154 8.4019
-0.3648 7.2076 10.7460
-1.3045 10.6535 6.0113
1.3260 10.6535 6.0325
0.2422 9.1617 8.4019
2.2658 8.7695 10.7460
2.6306 -3.9943 8.3385
2.6306 3.9943 3.7053
0.0000 3.9943 8.3385
0.0000 11.9828 3.7053
```

Most intense lines, 2θ = 5–70°, most intense first:
3.179 Å, 28.07 deg, I 100
12.044 Å, 7.34 deg, I 31
3.011 Å, 29.67 deg, I 22
2.663 Å, 33.66 deg, I 20
1.769 Å, 51.67 deg, I 19
2.631 Å, 34.08 deg, I 17
1.995 Å, 45.47 deg, I 17
1.620 Å, 56.84 deg, I 17
7.989 Å, 11.08 deg, I 16
1.981 Å, 45.81 deg, I 16

=====

Record 4
Structure and simulated powder X-ray diffraction pattern of Bi7O5F11 (a cell relaxed with GGA-PBE; copper Kα).
Kinematic intensities with the Lorentz-polarization factor, no thermal factor.

Atomic structure:
```
Bi7O5F11
1.0
6.7759 -2.8323 0.0000
6.7759 2.8323 0.0000
-0.9531 0.0000 9.2386
Bi O F
7 5 11
Cartesian
0.0000 0.0000 0.0000
1.3213 -0.1075 3.9067
3.3313 -0.5504 7.9595
5.5796 -0.6081 2.6553
7.0191 -0.6081 6.5833
9.2674 -0.5504 1.2791
11.2773 -0.1075 5.3320
5.2685 -1.3157 0.4885
5.2270 -1.8402 7.1674
6.2993 -1.7331 4.6193
7.3301 -1.3157 8.7502
7.3717 -1.8402 2.0712
4.3627 1.4465 0.1511
1.3285 0.2110 6.3698
3.1494 0.2363 2.2929
5.2134 0.9315 7.2247
6.2993 1.1483 4.6193
7.3853 0.9315 2.0139
8.2359 1.4465 9.0875
3.6575 -0.8952 4.9434
9.4493 0.2363 6.9457
11.2702 0.2110 2.8688
8.9412 -0.8952 4.2953
```

Most intense lines, 2θ = 5–70°, most intense first:
3.388 Å, 26.31 deg, I 100
2.916 Å, 30.66 deg, I 18
3.066 Å, 29.12 deg, I 16
2.032 Å, 44.60 deg, I 14
2.081 Å, 43.49 deg, I 13
2.832 Å, 31.59 deg, I 12
2.119 Å, 42.66 deg, I 10
1.829 Å, 49.86 deg, I 10
1.764 Å, 51.83 deg, I 9
5.219 Å, 16.99 deg, I 9

=====

Record 5
Structure and simulated powder X-ray diffraction pattern of Bi3O2F5 (a cell relaxed with GGA-PBE; copper Kα).
Kinematic intensities with the Lorentz-polarization factor, no thermal factor.

Atomic structure:
```
Bi3O2F5
1.0
5.7361 0.0000 0.0000
0.0000 18.0130 0.0000
0.0000 0.0000 5.9042
Bi O F
12 8 20
Cartesian
1.0511 1.7864 0.2276
1.0511 7.2201 0.2276
1.4137 13.5098 5.6807
1.4543 4.5033 2.7286
1.8169 10.7929 3.1797
1.8169 16.2266 3.1797
3.9191 1.7864 2.7245
3.9191 7.2201 2.7245
4.2818 13.5098 3.1756
4.3223 4.5033 0.2235
4.6850 10.7929 5.6766
4.6850 16.2266 5.6766
0.1769 12.0809 4.2836
0.1769 14.9387 4.2836
2.6911 3.0744 1.3316
2.6911 5.9322 1.3316
3.0450 12.0809 4.5726
3.0450 14.9387 4.5726
5.5591 3.0744 1.6205
5.5591 5.9322 1.6205
0.5709 9.3773 4.6557
0.5709 17.6422 4.6557
0.8600 4.5033 5.3344
0.8994 11.3341 0.9819
0.8994 15.6854 0.9819
1.9686 2.3276 3.9340
1.9686 6.6789 3.9340
2.0080 13.5098 2.3823
2.2972 0.3708 1.7036
2.2972 8.6357 1.7036
3.4389 9.3773 4.2005
3.4389 17.6422 4.2005
3.7281 4.5033 3.5218
3.7675 11.3341 1.9701
3.7675 15.6854 1.9701
4.8366 2.3276 4.9222
4.8366 6.6789 4.9222
4.8760 13.5098 0.5697
5.1652 0.3708 1.2485
5.1652 8.6357 1.2485
```

Most intense lines, 2θ = 5–70°, most intense first:
3.394 Å, 26.26 deg, I 100
3.002 Å, 29.76 deg, I 17
2.105 Å, 42.97 deg, I 15
2.952 Å, 30.28 deg, I 14
2.868 Å, 31.19 deg, I 13
1.778 Å, 51.39 deg, I 13
1.800 Å, 50.72 deg, I 13
2.074 Å, 43.65 deg, I 11
4.114 Å, 21.60 deg, I 11
2.268 Å, 39.75 deg, I 10

=====

Record 6
Structure and simulated powder X-ray diffraction pattern of Bi3O2F5 (a cell relaxed with GGA-PBE; copper Kα).
Kinematic intensities with the Lorentz-polarization factor, no thermal factor.

Atomic structure:
```
Bi3O2F5
1.0
13.5129 0.0000 0.0000
0.0000 5.9981 0.0000
-2.5032 0.0000 7.8788
Bi O F
12 8 20
Cartesian
-0.6258 0.0583 1.9697
-1.8774 5.9398 5.9091
2.6156 2.7719 0.6769
1.3640 3.2262 4.6163
2.5026 0.1499 7.3170
3.7542 5.8482 3.3776
6.1307 2.5375 1.9697
4.8791 3.4606 5.9091
7.2555 0.1499 4.5013
8.5071 5.8482 0.5618
9.6457 2.7719 3.2625
8.3941 3.2262 7.2019
4.2118 1.4386 1.3055
2.9602 4.5595 5.2449
5.5357 1.2841 3.7099
4.2841 4.7140 7.6493
6.7257 1.2841 0.2295
5.4741 4.7140 4.1689
8.0496 1.4386 2.6339
6.7980 4.5595 6.5734
-0.7181 1.2351 4.4330
0.5334 4.7630 0.4935
1.1552 1.6735 2.0461
-0.0964 4.3246 5.9855
-0.2533 0.9227 7.2359
0.9982 5.0754 3.2965
1.7784 2.6588 6.8223
3.0299 3.3393 2.8829
2.9750 1.3514 4.9714
4.2266 4.6467 1.0320
6.7831 1.3514 6.8468
8.0347 4.6467 2.9074
7.9798 2.6588 4.9959
9.2314 3.3393 1.0565
10.0115 0.9227 4.5824
11.2631 5.0754 0.6430
11.1061 1.6735 1.8933
9.8546 4.3246 5.8327
10.4763 1.2351 7.3853
11.7279 4.7630 3.4459
```

Most intense lines, 2θ = 5–70°, most intense first:
3.404 Å, 26.18 deg, I 100
3.491 Å, 25.52 deg, I 83
2.113 Å, 42.79 deg, I 49
2.978 Å, 30.00 deg, I 47
2.999 Å, 29.79 deg, I 24
2.067 Å, 43.80 deg, I 18
1.781 Å, 51.31 deg, I 17
12.879 Å, 6.86 deg, I 16
2.837 Å, 31.54 deg, I 16
4.389 Å, 20.23 deg, I 15